Computed XRD peak list of LaPrNd14 for λ = 1.5418 Å (Cu Kα), from the PBE geometry in Alexandria.
Peak positions follow from Bragg's law for the DFT cell and can differ from measured ones.

Atomic structure:
```
16
Lattice="11.9468 0.0000 0.0000 0.0000 3.7122 6.4190 0.0000 -3.7122 6.4190" Properties=species:S:1:pos:R:3 pbc="T T T"
La 0.0000 0.0000 0.0000
Pr 0.0000 0.0000 6.4123
Nd 0.0000 -1.8525 3.2141
Nd 0.0000 1.8525 3.2141
Nd 2.9795 0.0000 8.5643
Nd 3.0013 0.0000 2.1493
Nd 3.0083 -1.8559 5.3528
Nd 3.0083 1.8559 5.3528
Nd 5.9734 0.0000 4.2895
Nd 5.9734 -1.8518 7.5030
Nd 5.9734 0.0000 10.7003
Nd 5.9734 1.8518 7.5030
Nd 8.9386 -1.8559 5.3528
Nd 8.9386 1.8559 5.3528
Nd 8.9455 0.0000 2.1493
Nd 8.9673 0.0000 8.5643
```

Top 10 peaks for 2θ = 5–70°, in order of falling intensity:
2theta  I (rel.)
31.63  100
28.78  42
29.92  34
58.59  31
49.13  26
35.92  23
54.20  22
59.61  16
47.42  11
27.77  8